# 1
Sr3P4O13: simulated X-ray powder pattern (Cu Kα (weighted mean of Kα1 and Kα2)), based on a GGA-PBE-relaxed structure.
Neutral-atom scattering factors, no anomalous dispersion.

Cell and atoms:
Cell: 7.362 7.850 10.324 Å, 102.53 103.14 94.36°
Space group P-1 (No. 2)
One atom of each set of equivalent atoms:
Sr 0.207 0.221 0.136 x2
Sr 0.251 0.016 0.757 x2
Sr 0.286 0.771 0.374 x2
P 0.138 0.461 0.859 x2
P 0.171 0.190 0.488 x2
P 0.326 0.810 0.022 x2
P 0.362 0.537 0.652 x2
O 0.026 0.181 0.571 x2
O 0.046 0.490 0.212 x2
O 0.100 0.128 0.333 x2
O 0.134 0.283 0.892 x2
O 0.164 0.901 0.954 x2
O 0.236 0.603 0.999 x2
O 0.244 0.401 0.515 x2
O 0.291 0.469 0.771 x2
O 0.317 0.717 0.637 x2
O 0.345 0.103 0.544 x2
O 0.382 0.880 0.178 x2
O 0.433 0.487 0.317 x2
O 0.491 0.808 0.956 x2

Most intense lines, 2θ = 10–80°, most intense first:
2θ = 27.56°, I = 100, hkl 1 1 -3
2θ = 25.06°, I = 49, hkl 2 0 0
2θ = 25.83°, I = 43, hkl 1 -2 1
2θ = 32.18°, I = 41, hkl 1 -1 3
2θ = 29.12°, I = 28, hkl 2 1 0
2θ = 30.03°, I = 24, hkl -2 1 2


# 2
SrP2O6: simulated X-ray powder pattern (Cu Kα (weighted mean of Kα1 and Kα2)), based on a GGA-PBE-relaxed structure.
Neutral-atom scattering factors, no anomalous dispersion.

Cell and atoms:
Cell: 4.559 11.070 10.517 Å, 90.00 91.54 90.00°
Space group P2_1/c (No. 14)
One atom of each set of equivalent atoms:
Sr 0.032 0.193 0.015 x4
P 0.069 0.513 0.784 x4
P 0.437 0.651 0.207 x4
O 0.016 0.121 0.643 x4
O 0.042 0.515 0.640 x4
O 0.103 0.609 0.169 x4
O 0.393 0.028 0.331 x4
O 0.469 0.672 0.347 x4
O 0.499 0.249 0.387 x4

Most intense lines, 2θ = 10–80°, most intense first:
2θ = 23.34°, I = 100, hkl 0 2 2
2θ = 25.56°, I = 72, hkl 1 0 -2
2θ = 30.27°, I = 60, hkl 1 2 -2
2θ = 19.48°, I = 58, hkl 1 0 0
2θ = 26.68°, I = 49, hkl 0 1 3
2θ = 39.55°, I = 46, hkl 2 0 0


# 3
Sr4Ta3PO14: simulated X-ray powder pattern (Cu Kα (weighted mean of Kα1 and Kα2)), based on a GGA-PBE-relaxed structure.
Neutral-atom scattering factors, no anomalous dispersion.

Cell and atoms:
Cell: 26.707 3.953 5.811 Å, 90.00 94.83 90.00°
Space group Cm (No. 8)
One atom of each set of equivalent atoms:
Sr 0.000 0.000 0.000 x2
Sr 0.091 0.500 0.554 x2
Sr 0.219 0.500 0.912 x2
Sr 0.339 0.500 0.456 x2
Ta 0.228 0.000 0.411 x2
Ta 0.339 0.000 0.951 x2
Ta 0.449 0.000 0.488 x2
P 0.118 0.000 0.050 x2
O 0.085 0.000 0.817 x2
O 0.087 0.000 0.261 x2
O 0.126 0.500 0.013 x2
O 0.177 0.000 0.608 x2
O 0.178 0.000 0.107 x2
O 0.233 0.500 0.386 x2
O 0.278 0.000 0.141 x2
O 0.283 0.000 0.653 x2
O 0.330 0.500 0.932 x2
O 0.382 0.000 0.227 x2
O 0.385 0.000 0.712 x2
O 0.436 0.500 0.486 x2
O 0.492 0.000 0.252 x2
O 0.498 0.000 0.732 x2

Most intense lines, 2θ = 10–80°, most intense first:
2θ = 29.60°, I = 100, hkl 3 1 1
2θ = 28.68°, I = 95, hkl 3 1 -1
2θ = 26.80°, I = 94, hkl 8 0 0
2θ = 31.46°, I = 90, hkl 5 1 -1
2θ = 32.86°, I = 82, hkl 5 1 1
2θ = 30.89°, I = 69, hkl 0 0 2


# 4
Sr3Zn3TeP2O14: simulated X-ray powder pattern (Cu Kα (weighted mean of Kα1 and Kα2)), based on a GGA-PBE-relaxed structure.
Neutral-atom scattering factors, no anomalous dispersion.

Cell and atoms:
Cell: 8.4192 8.4192 5.2414 Å, 90.00 90.00 120.00°
Space group P321 (No. 150)
One atom of each set of equivalent atoms:
Sr 0.0000 0.5702 0.0000 x3
Zn 0.0000 0.2385 0.5000 x3
Te 0.0000 0.0000 0.0000 x1
P 0.3333 0.6667 0.4543 x2
O 0.0923 0.8711 0.7905 x6
O 0.1746 0.4860 0.3369 x6
O 0.3333 0.6667 0.7486 x2

Most intense lines, 2θ = 10–80°, most intense first:
2θ = 29.85°, I = 100, hkl 2 0 1
2θ = 27.17°, I = 61, hkl 1 1 1
2θ = 57.89°, I = 29, hkl 3 2 1
2θ = 12.14°, I = 28, hkl 1 0 0
2θ = 47.90°, I = 26, hkl 2 1 2
2θ = 32.49°, I = 23, hkl 2 1 0


# 5
Sr2Zn3Te2P2O14: simulated X-ray powder pattern (Cu Kα (weighted mean of Kα1 and Kα2)), based on a GGA-PBE-relaxed structure.
Neutral-atom scattering factors, no anomalous dispersion.

Cell and atoms:
Cell: 5.295 7.980 15.532 Å, 90.00 90.32 90.00°
Space group P2_1/c (No. 14)
One atom of each set of equivalent atoms:
Sr 0.001 0.052 0.203 x4
Zn 0.492 0.108 0.617 x4
Zn 0.500 0.000 0.000 x2
Te 0.014 0.228 0.492 x4
P 0.454 0.235 0.807 x4
O 0.205 0.102 0.054 x4
O 0.212 0.049 0.540 x4
O 0.247 0.740 0.425 x4
O 0.260 0.738 0.710 x4
O 0.300 0.183 0.724 x4
O 0.342 0.090 0.331 x4
O 0.382 0.107 0.878 x4

Most intense lines, 2θ = 10–80°, most intense first:
2θ = 30.32°, I = 100, hkl 1 2 2
2θ = 28.59°, I = 46, hkl 1 0 4
2θ = 26.48°, I = 32, hkl 1 1 -3
2θ = 26.61°, I = 27, hkl 1 1 3
2θ = 28.43°, I = 23, hkl 1 0 -4
2θ = 33.86°, I = 23, hkl 2 0 0


# 6
SrTiP2O8: simulated X-ray powder pattern (Cu Kα (weighted mean of Kα1 and Kα2)), based on a GGA-PBE-relaxed structure.
Neutral-atom scattering factors, no anomalous dispersion.

Cell and atoms:
Cell: 16.670 5.237 8.224 Å, 90.00 116.46 90.00°
Space group C2/c (No. 15)
One atom of each set of equivalent atoms:
Sr 0.000 0.193 0.250 x4
Ti 0.250 0.250 0.500 x4
P 0.142 0.261 0.756 x8
O 0.048 0.221 0.604 x8
O 0.147 0.481 0.355 x8
O 0.164 0.037 0.896 x8
O 0.217 0.267 0.692 x8

Most intense lines, 2θ = 10–80°, most intense first:
2θ = 30.93°, I = 100, hkl 3 1 1
2θ = 23.71°, I = 73, hkl 3 1 -1
2θ = 37.06°, I = 66, hkl 3 1 -3
2θ = 31.84°, I = 64, hkl 5 1 -1
2θ = 21.64°, I = 64, hkl 2 0 -2
2θ = 20.11°, I = 52, hkl 1 1 -1


# 7
SrTiP2O8: simulated X-ray powder pattern (Cu Kα (weighted mean of Kα1 and Kα2)), based on a GGA-PBE-relaxed structure.
Neutral-atom scattering factors, no anomalous dispersion.

Cell and atoms:
Cell: 5.496 7.230 9.223 Å, 108.48 101.73 98.52°
Space group P-1 (No. 2)
One atom of each set of equivalent atoms:
Sr 0.239 0.269 0.043 x2
Ti 0.340 0.663 0.441 x2
P 0.156 0.466 0.695 x2
P 0.419 0.936 0.230 x2
O 0.016 0.742 0.427 x2
O 0.056 0.409 0.306 x2
O 0.175 0.947 0.124 x2
O 0.279 0.483 0.863 x2
O 0.351 0.039 0.832 x2
O 0.377 0.524 0.618 x2
O 0.380 0.734 0.266 x2
O 0.472 0.109 0.399 x2

Most intense lines, 2θ = 10–80°, most intense first:
2θ = 27.51°, I = 100, hkl 0 2 -2
2θ = 21.86°, I = 72, hkl -1 1 1
2θ = 29.75°, I = 60, hkl 1 1 1
2θ = 21.62°, I = 35, hkl 1 -1 1
2θ = 31.52°, I = 33, hkl 1 1 -3
2θ = 28.33°, I = 30, hkl 1 -1 2